The following is a theoretical powder X-ray diffraction pattern of KMn3C4O12. It was derived from a cell relaxed with GGA+U, using Cu Kα.
No peak broadening, texture or thermal motion is included.

Main lines, in order of rising 2θ (10 to 90 degrees two-theta):
2θ/deg  Rel. int.
23.41  18
29.77  100
36.58  13
43.91  29
48.03  16
49.18  15

Structure:
Cell: 6.336 6.336 6.336 Å, 101.69 101.69 101.69°
Fractional positions:
K: 0.000 0.000 0.000
Mn: 0.000 0.539 0.461
Mn: 0.461 0.000 0.539
Mn: 0.539 0.461 0.000
C: 0.039 0.500 0.961
C: 0.500 0.500 0.500
C: 0.500 0.961 0.039
C: 0.961 0.039 0.500
O: 0.003 0.203 0.412
O: 0.096 0.904 0.500
O: 0.203 0.412 0.003
O: 0.368 0.632 0.500
O: 0.412 0.003 0.203
O: 0.500 0.096 0.904
O: 0.500 0.368 0.632
O: 0.588 0.797 0.997
O: 0.632 0.500 0.368
O: 0.797 0.997 0.588
O: 0.904 0.500 0.096
O: 0.997 0.588 0.797